Diffraction record for Si3As. The XRD peak list is computed, not measured: it uses DFT lattice parameters and positions (GGA-PBE) and Cu Ka.

Atomic structure:
```
Si3As
1.0
7.2969 0.0000 0.0000
0.0000 7.2972 0.0000
0.0000 0.0000 5.1602
Si As
12 4
Direct
0.0000 0.2503 0.2500
0.0000 0.7497 0.7500
0.2490 0.9999 0.2500
0.2490 0.0001 0.7500
0.2510 0.4999 0.2500
0.2510 0.5001 0.7500
0.5000 0.2497 0.7500
0.5000 0.7503 0.2500
0.7490 0.4999 0.2500
0.7490 0.5001 0.7500
0.7510 0.9999 0.2500
0.7510 0.0001 0.7500
0.0000 0.2515 0.7500
0.0000 0.7485 0.2500
0.5000 0.2485 0.2500
0.5000 0.7515 0.7500
```

Largest 8 diffraction maxima, by angle, 10° ≤ 2θ ≤ 80°:
two_theta, intensity, index
24.40, 43, 2 0 0
34.77, 100, 2 2 0
42.93, 20, 3 1 1
50.00, 69, 4 0 0
56.39, 9, 4 2 0
62.34, 23, 4 0 2
67.98, 10, 5 1 1
73.40, 11, 4 4 0